(1)
For ZrTl6Cl12, a cell relaxed with PBE gives the simulated X-ray powder pattern in this record (Cu Kα, 1.54184 Å).
No peak broadening, texture or thermal motion is included.

Cell and atoms:
Cell lengths 8.8978, 8.8978, 8.8978 Å; angles 92.94, 92.94, 92.94 degrees
Sites, in units of the cell vectors:
1 Zr 0.0000 0.0000 0.0000
2 Tl 0.0664 0.4826 0.2752
3 Tl 0.2752 0.0664 0.4826
4 Tl 0.4826 0.2752 0.0664
5 Tl 0.5174 0.7248 0.9336
6 Tl 0.7248 0.9336 0.5174
7 Tl 0.9336 0.5174 0.7248
8 Cl 0.0304 0.9426 0.7263
9 Cl 0.0574 0.2737 0.9696
10 Cl 0.1595 0.3512 0.5733
11 Cl 0.2737 0.9696 0.0574
12 Cl 0.3512 0.5733 0.1595
13 Cl 0.4267 0.8405 0.6488
14 Cl 0.5733 0.1595 0.3512
15 Cl 0.6488 0.4267 0.8405
16 Cl 0.7263 0.0304 0.9426
17 Cl 0.8405 0.6488 0.4267
18 Cl 0.9426 0.7263 0.0304
19 Cl 0.9696 0.0574 0.2737

Peak list (8 most intense, 2θ = 10–90°, in order of rising 2θ)
2θ/deg  I_rel
14.5  52
18.2  29
21.9  100
22.9  65
24.3  53
33.3  54
36.9  46
37.4  42

***

(2)
For TmCl3, a cell relaxed with PBE gives the simulated X-ray powder pattern in this record (Cu Kα, 1.54184 Å).
No peak broadening, texture or thermal motion is included.

Cell and atoms:
Cell lengths 7.1379, 7.1379, 7.1379 Å; angles 55.60, 55.60, 55.60 degrees
Sites, in units of the cell vectors:
1 Tm 0.0000 0.0000 0.0000
2 Tm 0.5000 0.5000 0.5000
3 Cl 0.1071 0.7500 0.3929
4 Cl 0.2500 0.6071 0.8929
5 Cl 0.3929 0.1071 0.7500
6 Cl 0.6071 0.8929 0.2500
7 Cl 0.7500 0.3929 0.1071
8 Cl 0.8929 0.2500 0.6071

Peak list (8 most intense, 2θ = 10–90°, in order of rising 2θ)
2θ/deg  I_rel
18.3  100
25.1  38
32.6  17
37.0  19
40.4  41
42.7  20
46.3  17
47.3  19

***

(3)
For TmCl2, a cell relaxed with PBE gives the simulated X-ray powder pattern in this record (Cu Kα, 1.54184 Å).
No peak broadening, texture or thermal motion is included.

Cell and atoms:
Cell lengths 6.2186, 12.2279, 7.1907 Å; angles 90.00, 90.00, 90.00 degrees
Sites, in units of the cell vectors:
1 Tm 0.1808 0.0976 0.0458
2 Tm 0.1808 0.4024 0.5458
3 Tm 0.3192 0.5976 0.0458
4 Tm 0.3192 0.9024 0.5458
5 Tm 0.6808 0.0976 0.4542
6 Tm 0.6808 0.4024 0.9542
7 Tm 0.8192 0.5976 0.4542
8 Tm 0.8192 0.9024 0.9542
9 Cl 0.0213 0.0436 0.7055
10 Cl 0.0213 0.4564 0.2055
11 Cl 0.1934 0.7076 0.3744
12 Cl 0.1934 0.7924 0.8744
13 Cl 0.3066 0.2076 0.3744
14 Cl 0.3066 0.2924 0.8744
15 Cl 0.4787 0.5436 0.7055
16 Cl 0.4787 0.9564 0.2055
17 Cl 0.5213 0.0436 0.7945
18 Cl 0.5213 0.4564 0.2945
19 Cl 0.6934 0.7076 0.1256
20 Cl 0.6934 0.7924 0.6256
21 Cl 0.8066 0.2076 0.1256
22 Cl 0.8066 0.2924 0.6256
23 Cl 0.9787 0.5436 0.7945
24 Cl 0.9787 0.9564 0.2945

Peak list (8 most intense, 2θ = 10–90°, in order of rising 2θ)
2θ/deg  I_rel
20.2  22
23.9  100
24.8  17
35.0  31
36.3  28
40.4  17
44.5  19
46.2  22

***

(4)
For TmZnCl6, a cell relaxed with PBE gives the simulated X-ray powder pattern in this record (Cu Kα, 1.54184 Å).
No peak broadening, texture or thermal motion is included.

Cell and atoms:
Cell lengths 6.3585, 6.3600, 6.8604 Å; angles 90.14, 117.34, 119.96 degrees
Sites, in units of the cell vectors:
1 Tm 0.0000 0.0000 0.0000
2 Zn 0.0000 0.5000 0.5000
3 Cl 0.1567 0.4173 0.2559
4 Cl 0.1588 0.2582 0.7419
5 Cl 0.4846 0.8999 0.7441
6 Cl 0.5154 0.1001 0.2559
7 Cl 0.8412 0.7418 0.2581
8 Cl 0.8433 0.5827 0.7441

Peak list (8 most intense, 2θ = 10–90°, in order of rising 2θ)
2θ/deg  I_rel
19.1  100
26.0  28
32.1  40
34.1  20
42.0  26
42.2  24
44.7  17
49.7  25

***

(5)
For UCl5, a cell relaxed with PBE gives the simulated X-ray powder pattern in this record (Cu Kα, 1.54184 Å).
No peak broadening, texture or thermal motion is included.

Cell and atoms:
Cell lengths 8.6409, 11.6021, 12.5875 Å; angles 90.00, 132.77, 90.00 degrees
Sites, in units of the cell vectors:
1 U 0.2016 0.1306 0.1529
2 U 0.2016 0.3694 0.6529
3 U 0.7984 0.6306 0.3471
4 U 0.7984 0.8694 0.8471
5 Cl 0.0033 0.6246 0.2754
6 Cl 0.0033 0.8754 0.7754
7 Cl 0.1670 0.6036 0.6276
8 Cl 0.1670 0.8964 0.1276
9 Cl 0.1779 0.1569 0.6345
10 Cl 0.1779 0.3431 0.1345
11 Cl 0.3900 0.1239 0.0687
12 Cl 0.3900 0.3761 0.5687
13 Cl 0.4614 0.6224 0.0915
14 Cl 0.4614 0.8776 0.5915
15 Cl 0.5386 0.1224 0.4085
16 Cl 0.5386 0.3776 0.9085
17 Cl 0.6100 0.6239 0.4313
18 Cl 0.6100 0.8761 0.9313
19 Cl 0.8221 0.6569 0.8655
20 Cl 0.8221 0.8431 0.3655
21 Cl 0.8330 0.1036 0.8724
22 Cl 0.8330 0.3964 0.3724
23 Cl 0.9967 0.1246 0.2246
24 Cl 0.9967 0.3754 0.7246

Peak list (8 most intense, 2θ = 10–90°, in order of rising 2θ)
2θ/deg  I_rel
12.2  41
12.8  100
14.1  58
15.9  69
18.1  71
30.7  34
30.8  40
32.7  37

***

(6)
For UCl4, a cell relaxed with PBE gives the simulated X-ray powder pattern in this record (Cu Kα, 1.54184 Å).
No peak broadening, texture or thermal motion is included.

Cell and atoms:
Cell lengths 7.0745, 7.0745, 7.0745 Å; angles 107.60, 107.60, 113.28 degrees
Sites, in units of the cell vectors:
1 U 0.3750 0.6250 0.7500
2 U 0.6250 0.3750 0.2500
3 Cl 0.1302 0.6913 0.4389
4 Cl 0.2476 0.3087 0.9389
5 Cl 0.3087 0.2476 0.4389
6 Cl 0.3087 0.8698 0.0611
7 Cl 0.6913 0.1302 0.9389
8 Cl 0.6913 0.7524 0.5611
9 Cl 0.7524 0.6913 0.0611
10 Cl 0.8698 0.3087 0.5611

Peak list (8 most intense, 2θ = 10–90°, in order of rising 2θ)
2θ/deg  I_rel
15.6  100
21.3  59
26.5  29
27.4  37
34.2  36
36.3  28
40.6  30
41.3  45

***

(7)
For UCl5, a cell relaxed with PBE gives the simulated X-ray powder pattern in this record (Cu Kα, 1.54184 Å).
No peak broadening, texture or thermal motion is included.

Cell and atoms:
Cell lengths 7.0185, 7.6133, 10.3672 Å; angles 108.15, 91.06, 116.40 degrees
Sites, in units of the cell vectors:
1 U 0.1020 0.2083 0.2081
2 U 0.8980 0.7917 0.7919
3 Cl 0.0616 0.8134 0.5849
4 Cl 0.1032 0.6252 0.8510
5 Cl 0.2269 0.1712 0.9574
6 Cl 0.2970 0.0223 0.2482
7 Cl 0.4248 0.5538 0.3213
8 Cl 0.5752 0.4462 0.6787
9 Cl 0.7030 0.9777 0.7518
10 Cl 0.7731 0.8288 0.0426
11 Cl 0.8968 0.3748 0.1490
12 Cl 0.9384 0.1866 0.4151

Peak list (8 most intense, 2θ = 10–90°, in order of rising 2θ)
2θ/deg  I_rel
13.6  100
14.3  59
14.5  52
15.5  47
15.9  42
18.3  52
28.7  73
29.2  33

***

(8)
For YVCl3, a cell relaxed with PBE gives the simulated X-ray powder pattern in this record (Cu Kα, 1.54184 Å).
No peak broadening, texture or thermal motion is included.

Cell and atoms:
Cell lengths 5.3062, 5.3062, 5.3062 Å; angles 90.00, 90.00, 90.00 degrees
Sites, in units of the cell vectors:
1 Y 0.0000 0.0000 0.0000
2 V 0.5000 0.5000 0.5000
3 Cl 0.0000 0.0000 0.5000
4 Cl 0.0000 0.5000 0.0000
5 Cl 0.5000 0.0000 0.0000

Peak list (8 most intense, 2θ = 10–90°, in order of rising 2θ)
2θ/deg  I_rel
16.7  58
23.7  90
33.8  100
37.9  27
41.7  40
48.5  65
60.4  21
81.0  27

***

(9)
For ZrV3Cl, a cell relaxed with PBE gives the simulated X-ray powder pattern in this record (Cu Kα, 1.54184 Å).
No peak broadening, texture or thermal motion is included.

Cell and atoms:
Cell lengths 4.3250, 4.3250, 4.3250 Å; angles 90.00, 90.00, 90.00 degrees
Sites, in units of the cell vectors:
1 Zr 0.0000 0.0000 0.0000
2 V 0.0000 0.5000 0.5000
3 V 0.5000 0.0000 0.5000
4 V 0.5000 0.5000 0.0000
5 Cl 0.5000 0.5000 0.5000

Peak list (8 most intense, 2θ = 10–90°, in order of rising 2θ)
2θ/deg  I_rel
29.2  38
36.0  100
41.8  86
51.8  14
60.6  52
72.5  34
76.3  17
83.7  7

***

(10)
For W4Cl5, a cell relaxed with PBE gives the simulated X-ray powder pattern in this record (Cu Kα, 1.54184 Å).
No peak broadening, texture or thermal motion is included.

Cell and atoms:
Cell lengths 7.4178, 7.4178, 7.4178 Å; angles 92.65, 92.65, 155.16 degrees
Sites, in units of the cell vectors:
1 W 0.0000 0.3555 0.3555
2 W 0.0000 0.6445 0.6445
3 W 0.3555 0.0000 0.3555
4 W 0.6445 0.0000 0.6445
5 Cl 0.0000 0.0000 0.0000
6 Cl 0.3365 0.3365 0.6731
7 Cl 0.3365 0.6635 0.0000
8 Cl 0.6635 0.3365 0.0000
9 Cl 0.6635 0.6635 0.3269

Peak list (8 most intense, 2θ = 10–90°, in order of rising 2θ)
2θ/deg  I_rel
12.2  100
17.3  20
34.2  15
37.2  38
38.6  73
46.3  26
68.1  20
81.5  12

***

(11)
For WCl4, a cell relaxed with PBE gives the simulated X-ray powder pattern in this record (Cu Kα, 1.54184 Å).
No peak broadening, texture or thermal motion is included.

Cell and atoms:
Cell lengths 7.3372, 7.3372, 8.6940 Å; angles 125.40, 125.40, 52.64 degrees
Sites, in units of the cell vectors:
1 W 0.2045 0.7955 0.0000
2 W 0.7955 0.2045 0.0000
3 Cl 0.1961 0.1961 0.1804
4 Cl 0.2258 0.7513 0.7254
5 Cl 0.2487 0.7742 0.2746
6 Cl 0.3366 0.3366 0.8498
7 Cl 0.6634 0.6634 0.1502
8 Cl 0.7513 0.2258 0.7254
9 Cl 0.7742 0.2487 0.2746
10 Cl 0.8039 0.8039 0.8196

Peak list (8 most intense, 2θ = 10–90°, in order of rising 2θ)
2θ/deg  I_rel
13.3  100
13.6  94
17.7  54
20.4  29
32.0  18
32.8  39
40.2  18
41.6  16

***

(12)
For WCl4, a cell relaxed with PBE gives the simulated X-ray powder pattern in this record (Cu Kα, 1.54184 Å).
No peak broadening, texture or thermal motion is included.

Cell and atoms:
Cell lengths 8.4594, 8.4594, 5.5647 Å; angles 102.63, 102.63, 126.15 degrees
Sites, in units of the cell vectors:
1 W 0.0486 0.9514 0.7500
2 W 0.9514 0.0486 0.2500
3 Cl 0.0430 0.3584 0.2200
4 Cl 0.1600 0.2866 0.7422
5 Cl 0.2866 0.1600 0.2422
6 Cl 0.3584 0.0430 0.7200
7 Cl 0.6416 0.9570 0.2800
8 Cl 0.7134 0.8400 0.7578
9 Cl 0.8400 0.7134 0.2578
10 Cl 0.9570 0.6416 0.7800

Peak list (8 most intense, 2θ = 10–90°, in order of rising 2θ)
2θ/deg  I_rel
11.7  59
14.5  100
21.7  14
24.3  14
33.0  11
33.8  27
36.9  13
43.4  13